Starting from DFT lattice parameters and positions (GGA-PBE), the X-ray diffraction stick pattern of PmCu12 was calculated for CuKα.

Crystal structure
Lattice parameters (Å, degrees): 6.492 6.492 6.492 98.09 98.09 135.93
Atoms (fractional coordinates):
1 Pm 0.000 0.000 0.000
2 Cu 0.000 0.000 0.500
3 Cu 0.000 0.356 0.356
4 Cu 0.000 0.500 0.000
5 Cu 0.000 0.644 0.644
6 Cu 0.274 0.500 0.774
7 Cu 0.356 0.000 0.356
8 Cu 0.500 0.000 0.000
9 Cu 0.500 0.274 0.774
10 Cu 0.500 0.500 0.500
11 Cu 0.500 0.726 0.226
12 Cu 0.644 0.000 0.644
13 Cu 0.726 0.500 0.226

Principal peaks in the range 10° ≤ 2θ ≤ 80°, by angle:
two_theta  Rel. int.
29.8  188
36.7  277
36.9  110
42.5  1000
42.8  459
47.8  187
48.1  234
70.4  126
77.8  130
77.9  122